For TbSmBr2NCl, a GGA-PBE-relaxed structure gives the calculated powder diffractogram in this record (Cu Kα, 1.54184 Å).
Lines closer than 0.1° are merged.

Structure:
Lattice parameters (Å, degrees): 8.594 8.594 10.991 119.94 119.94 26.44
Fractional coordinates of all 12 atoms:
Tb 0.134 0.134 0.287
Tb 0.866 0.866 0.713
Sm 0.415 0.415 0.044
Sm 0.585 0.585 0.956
Br 0.049 0.049 0.735
Br 0.337 0.337 0.482
Br 0.663 0.663 0.518
Br 0.951 0.951 0.265
N 0.425 0.425 0.843
N 0.575 0.575 0.157
Cl 0.218 0.218 0.114
Cl 0.782 0.782 0.886

Largest 10 diffraction maxima, low angle first, 10 to 90 degrees two-theta:
d (Å)	2theta	intensity
8.036	11.0	100.0
3.592	24.8	32.9
3.365	26.5	68.4
3.173	28.1	83.6
2.778	32.2	63.1
2.710	33.1	42.0
2.670	33.6	53.8
2.539	35.4	39.4
2.401	37.4	31.9
2.064	43.9	44.8